1.
This entry pairs a crystal structure of AcAlGa2Pt with its theoretical powder XRD pattern. Radiation: a wavelength of 1.5418 Å. Structure: a cell relaxed with PBE.

Largest 8 diffraction maxima, in order of rising 2θ, 2θ = 10–90°:
d [Å], 2θ/deg, I (rel.)
3.133, 28.49, 92
2.814, 31.80, 82
2.787, 32.12, 74
2.712, 33.02, 100
2.243, 40.21, 43
2.189, 41.24, 40
1.728, 53.00, 42
1.566, 58.98, 51

Structure:
Lattice parameters (Å, degrees): 6.2618 6.2618 6.2618 139.08 138.03 60.06
Sites, in units of the cell vectors:
Ac 0.0000 0.0000 0.0000
Al 0.2451 0.7451 0.5000
Ga 0.5969 0.5969 0.0000
Ga 0.7444 0.2444 0.5000
Pt 0.3604 0.3604 0.0000

***

2.
This entry pairs a crystal structure of AcAlGa2Ru2 with its theoretical powder XRD pattern. Radiation: a wavelength of 1.5418 Å. Structure: a cell relaxed with PBE.

Largest 8 diffraction maxima, in order of rising 2θ, 2θ = 10–90°:
d [Å], 2θ/deg, I (rel.)
3.618, 24.60, 47
2.829, 31.63, 100
2.502, 35.89, 72
2.268, 39.74, 63
1.697, 54.04, 25
1.680, 54.61, 43
1.604, 57.46, 21
1.395, 67.08, 23

Structure:
Lattice parameters (Å, degrees): 4.5366 4.5366 5.9983 90.00 90.00 90.00
Sites, in units of the cell vectors:
Ac 0.0000 0.0000 0.0000
Al 0.0000 0.0000 0.5000
Ga 0.5000 0.5000 0.2566
Ga 0.5000 0.5000 0.7434
Ru 0.0000 0.5000 0.5000
Ru 0.5000 0.0000 0.5000

***

3.
This entry pairs a crystal structure of Ac4Al3Ga12Sn with its theoretical powder XRD pattern. Radiation: a wavelength of 1.5418 Å. Structure: a cell relaxed with PBE.

Largest 8 diffraction maxima, in order of rising 2θ, 2θ = 10–90°:
d [Å], 2θ/deg, I (rel.)
3.568, 24.95, 65
2.914, 30.69, 100
2.523, 35.58, 81
2.060, 43.95, 29
1.784, 51.20, 57
1.522, 60.88, 42
1.457, 63.90, 19
1.128, 86.19, 25

Structure:
Lattice parameters (Å, degrees): 8.7407 8.7407 8.7407 109.47 109.47 109.47
Sites, in units of the cell vectors:
Ac 0.0000 0.0000 0.5000
Ac 0.0000 0.5000 0.0000
Ac 0.5000 0.0000 0.0000
Ac 0.5000 0.5000 0.5000
Al 0.0000 0.5000 0.5000
Al 0.5000 0.0000 0.5000
Al 0.5000 0.5000 0.0000
Ga 0.0000 0.2604 0.2604
Ga 0.0000 0.7396 0.7396
Ga 0.2500 0.5000 0.7500
Ga 0.2500 0.7500 0.5000
Ga 0.2604 0.0000 0.2604
Ga 0.2604 0.2604 0.0000
Ga 0.5000 0.2500 0.7500
Ga 0.5000 0.7500 0.2500
Ga 0.7396 0.0000 0.7396
Ga 0.7396 0.7396 0.0000
Ga 0.7500 0.2500 0.5000
Ga 0.7500 0.5000 0.2500
Sn 0.0000 0.0000 0.0000

***

4.
This entry pairs a crystal structure of Ac2Al4ZnGa3 with its theoretical powder XRD pattern. Radiation: a wavelength of 1.5418 Å. Structure: a cell relaxed with PBE.

Largest 8 diffraction maxima, in order of rising 2θ, 2θ = 10–90°:
d [Å], 2θ/deg, I (rel.)
4.147, 21.43, 55
3.177, 28.09, 34
2.805, 31.90, 78
2.737, 32.72, 100
2.247, 40.14, 47
1.943, 46.75, 31
1.754, 52.16, 40
1.470, 63.28, 26

Structure:
Lattice parameters (Å, degrees): 4.4931 4.4931 10.7744 90.00 90.00 90.00
Sites, in units of the cell vectors:
Ac 0.0000 0.5000 0.2439
Ac 0.5000 0.0000 0.7561
Al 0.0000 0.0000 0.5000
Al 0.0000 0.5000 0.8751
Al 0.5000 0.0000 0.1249
Al 0.5000 0.5000 0.5000
Zn 0.5000 0.5000 0.0000
Ga 0.0000 0.0000 0.0000
Ga 0.0000 0.5000 0.6339
Ga 0.5000 0.0000 0.3661

***

5.
This entry pairs a crystal structure of Ac3AlGe3 with its theoretical powder XRD pattern. Radiation: a wavelength of 1.5418 Å. Structure: a cell relaxed with PBE.

Largest 8 diffraction maxima, in order of rising 2θ, 2θ = 10–90°:
d [Å], 2θ/deg, I (rel.)
3.581, 24.86, 27
3.263, 27.33, 17
3.027, 29.51, 100
2.670, 33.57, 19
2.381, 37.78, 18
2.142, 42.19, 13
1.748, 52.34, 16
1.668, 55.05, 19

Structure:
Lattice parameters (Å, degrees): 10.2988 10.2988 10.2988 155.99 153.26 36.24
Sites, in units of the cell vectors:
Ac 0.0000 0.0000 0.0000
Ac 0.1870 0.6870 0.5000
Ac 0.3664 0.3664 0.0000
Al 0.6181 0.1181 0.5000
Ge 0.5432 0.5432 0.0000
Ge 0.7479 0.2479 0.5000
Ge 0.8292 0.8292 0.0000

***

6.
This entry pairs a crystal structure of Ac3Al3Ge with its theoretical powder XRD pattern. Radiation: a wavelength of 1.5418 Å. Structure: a cell relaxed with PBE.

Largest 8 diffraction maxima, in order of rising 2θ, 2θ = 10–90°:
d [Å], 2θ/deg, I (rel.)
4.623, 19.20, 26
3.663, 24.30, 66
3.327, 26.79, 22
3.068, 29.11, 100
3.057, 29.21, 63
2.376, 37.86, 23
1.994, 45.49, 29
1.782, 51.26, 27

Structure:
Lattice parameters (Å, degrees): 10.4930 10.4930 10.4930 155.87 153.82 35.90
Sites, in units of the cell vectors:
Ac 0.0000 0.0000 0.0000
Ac 0.1818 0.6818 0.5000
Ac 0.3689 0.3689 0.0000
Al 0.5472 0.5472 0.0000
Al 0.7481 0.2481 0.5000
Al 0.8187 0.8187 0.0000
Ge 0.6202 0.1202 0.5000

***

7.
This entry pairs a crystal structure of Ac8AlGe2 with its theoretical powder XRD pattern. Radiation: a wavelength of 1.5418 Å. Structure: a cell relaxed with PBE.

Largest 8 diffraction maxima, in order of rising 2θ, 2θ = 10–90°:
d [Å], 2θ/deg, I (rel.)
3.486, 25.55, 91
3.267, 27.30, 68
3.167, 28.18, 61
3.048, 29.30, 100
2.932, 30.49, 30
2.748, 32.58, 85
1.734, 52.79, 38
1.617, 56.95, 32

Structure:
Lattice parameters (Å, degrees): 10.7120 10.7120 7.3276 100.88 100.88 29.74
Sites, in units of the cell vectors:
Ac 0.0289 0.0289 0.2762
Ac 0.2084 0.2084 0.8429
Ac 0.3367 0.3367 0.5100
Ac 0.4111 0.4111 0.0402
Ac 0.5889 0.5889 0.9598
Ac 0.6633 0.6633 0.4900
Ac 0.7916 0.7916 0.1571
Ac 0.9711 0.9711 0.7238
Al 0.5000 0.5000 0.5000
Ge 0.1868 0.1868 0.2706
Ge 0.8132 0.8132 0.7294

***

8.
This entry pairs a crystal structure of Ac3AlGe with its theoretical powder XRD pattern. Radiation: a wavelength of 1.5418 Å. Structure: a cell relaxed with PBE.

Largest 8 diffraction maxima, in order of rising 2θ, 2θ = 10–90°:
d [Å], 2θ/deg, I (rel.)
3.939, 22.57, 38
3.277, 27.21, 100
3.208, 27.81, 66
3.135, 28.47, 74
3.039, 29.39, 59
2.833, 31.58, 47
2.466, 36.44, 38
2.190, 41.23, 37

Structure:
Lattice parameters (Å, degrees): 4.3796 8.7870 9.1893 87.05 89.97 75.64
Sites, in units of the cell vectors:
Ac 0.0489 0.4027 0.1742
Ac 0.2396 0.0214 0.8249
Ac 0.4038 0.6920 0.4162
Ac 0.5962 0.3080 0.5838
Ac 0.7604 0.9786 0.1751
Ac 0.9511 0.5973 0.8258
Al 0.2134 0.0732 0.4378
Al 0.7866 0.9268 0.5622
Ge 0.3916 0.7162 0.0656
Ge 0.6084 0.2838 0.9344